The following is a simulated powder diffractogram of Tl3Cr4AgO14. It was derived from a DFT-relaxed cell (PBE+U, Alexandria), using λ = 1.5418 Å (Cu Kα).
No peak broadening, texture or thermal motion is included.

Structure:
Lattice parameters (Å, degrees): 7.545 7.545 13.884 101.42 101.42 91.32
Fractional coordinates of all 44 atoms:
Tl1 0.049 0.951 0.750
Tl2 0.248 0.632 0.001
Tl3 0.368 0.752 0.499
Tl4 0.632 0.248 0.501
Tl5 0.752 0.368 0.999
Tl6 0.951 0.049 0.250
Cr1 0.042 0.545 0.252
Cr2 0.143 0.273 0.552
Cr3 0.273 0.143 0.052
Cr4 0.455 0.958 0.248
Cr5 0.545 0.042 0.752
Cr6 0.727 0.857 0.948
Cr7 0.857 0.727 0.448
Cr8 0.958 0.455 0.748
Ag1 0.449 0.551 0.750
Ag2 0.551 0.449 0.250
O1 0.000 0.294 0.642
O2 0.000 0.706 0.358
O3 0.020 0.290 0.444
O4 0.048 0.649 0.160
O5 0.076 0.228 0.043
O6 0.131 0.608 0.783
O7 0.228 0.076 0.543
O8 0.234 0.453 0.284
O9 0.290 0.020 0.944
O10 0.294 0.000 0.142
O11 0.311 0.434 0.588
O12 0.351 0.952 0.340
O13 0.392 0.869 0.717
O14 0.434 0.311 0.088
O15 0.453 0.234 0.784
O16 0.547 0.766 0.216
O17 0.566 0.689 0.912
O18 0.608 0.131 0.283
O19 0.649 0.048 0.660
O20 0.689 0.566 0.412
O21 0.706 0.000 0.858
O22 0.710 0.980 0.056
O23 0.766 0.547 0.716
O24 0.772 0.924 0.457
O25 0.869 0.392 0.217
O26 0.924 0.772 0.957
O27 0.952 0.351 0.840
O28 0.980 0.710 0.556

Principal peaks in the range 5° ≤ 2θ ≤ 70°, by intensity:
2θ/deg  I/Imax
25.1  100
26.8  81
30.0  71
30.3  54
21.2  51
26.5  49
29.6  48
17.5  36
26.3  33
19.7  29
36.0  28
43.0  26